For Rb3V2Cl2F5, DFT lattice parameters and positions (PBE+U) gives the theoretical PXRD pattern in this record (Cu Kα X-rays).
No peak broadening, texture or thermal motion is included.

Structural model:
Unit cell a=12.7222 b=12.7222 c=12.7222 alpha=160.13 beta=160.13 gamma=28.24
Fractional coordinates of all 12 atoms:
Rb 0.0000 0.0000 0.0000
Rb 0.1706 0.1706 0.0000
Rb 0.8294 0.8294 0.0000
V 0.4142 0.4142 0.0000
V 0.5858 0.5858 0.0000
Cl 0.3109 0.3109 0.0000
Cl 0.6891 0.6891 0.0000
F 0.0843 0.5843 0.5000
F 0.4157 0.9157 0.5000
F 0.5000 0.5000 0.0000
F 0.5843 0.0843 0.5000
F 0.9157 0.4157 0.5000

The 12 most intense peaks (5° ≤ 2θ ≤ 70°), sorted by position:
- 7.2 deg, rel. 20
- 27.2 deg, rel. 62
- 28.8 deg, rel. 100
- 32.6 deg, rel. 59
- 36.3 deg, rel. 70
- 41.1 deg, rel. 73
- 44.0 deg, rel. 21
- 50.0 deg, rel. 23
- 53.4 deg, rel. 47
- 59.6 deg, rel. 22
- 61.8 deg, rel. 27
- 67.5 deg, rel. 19